(1)
Starting from a GGA-PBE-relaxed structure, the X-ray diffraction stick pattern of CaB12C3 was simulated for copper Kα.
No peak broadening, texture or thermal motion is included.

Most intense lines, 10 to 80 degrees two-theta, low angle first:
22.6°, intensity 47, hkl 0 1 2; 27.7°, intensity 64, hkl 3 0 0; 32.1°, intensity 100, hkl 1 2 2; 35.1°, intensity 50, hkl 1 1 3; 39.6°, intensity 26, hkl 3 1 2; 42.9°, intensity 19, hkl 4 1 0; 48.9°, intensity 16, hkl 3 3 0; 57.2°, intensity 15, hkl 1 5 2

Structural model:
```
data_CaB12C3
_chemical_formula_sum 'Ca6 B72 C18'
_symmetry_space_group_name_H-M 'R 3 c'
_symmetry_Int_Tables_number 161
_symmetry_space_group_name_Hall 'R 3 -2"c'
_cell_length_a 11.1699
_cell_length_b 11.1699
_cell_length_c 8.6123
_cell_angle_alpha 90.00
_cell_angle_beta 90.00
_cell_angle_gamma 120.00
loop_
_atom_site_label
_atom_site_type_symbol
_atom_site_fract_x
_atom_site_fract_y
_atom_site_fract_z
_atom_site_occupancy
Ca1 Ca 0.0000 0.0000 0.0000 1
B1 B 0.0154 0.4677 0.2753 1
B2 B 0.0665 0.2559 0.9481 1
B3 B 0.0873 0.5175 0.9439 1
B4 B 0.1554 0.4227 0.9973 1
C1 C 0.0044 0.3533 0.9438 1
```



(2)
Starting from a GGA-PBE-relaxed structure, the X-ray diffraction stick pattern of Pr7Sn2Rh2 was simulated for copper Kα.
No peak broadening, texture or thermal motion is included.

Most intense lines, 10 to 80 degrees two-theta, low angle first:
24.5°, intensity 40, hkl 2 0 1; 26.3°, intensity 47, hkl 2 2 0; 27.8°, intensity 44, hkl 1 1 2; 31.2°, intensity 65, hkl 0 4 0; 35.7°, intensity 43, hkl 1 3 2; 36.2°, intensity 100, hkl 2 2 2; 54.1°, intensity 26, hkl 4 4 0; 60.3°, intensity 29, hkl 0 4 4

Structural model:
```
data_Pr7Sn2Rh2
_chemical_formula_sum 'Pr14 Sn4 Rh4'
_symmetry_space_group_name_H-M 'C m m m'
_symmetry_Int_Tables_number 65
_symmetry_space_group_name_Hall '-C 2 2'
_cell_length_a 8.393
_cell_length_b 11.482
_cell_length_c 7.271
_cell_angle_alpha 90.00
_cell_angle_beta 90.00
_cell_angle_gamma 90.00
loop_
_atom_site_label
_atom_site_type_symbol
_atom_site_fract_x
_atom_site_fract_y
_atom_site_fract_z
_atom_site_occupancy
Pr1 Pr 0.000 0.000 0.000 1
Pr2 Pr 0.000 0.500 0.240 1
Pr3 Pr 0.250 0.250 0.254 1
Sn1 Sn 0.175 0.000 0.500 1
Rh1 Rh 0.000 0.286 0.000 1
```



(3)
Starting from a GGA-PBE-relaxed structure, the X-ray diffraction stick pattern of Ba2Ga4Cu5 was simulated for copper Kα.
No peak broadening, texture or thermal motion is included.

Most intense lines, 10 to 80 degrees two-theta, low angle first:
25.4°, intensity 33, hkl 1 1 3; 29.8°, intensity 53, hkl 1 3 1; 30.1°, intensity 28, hkl 0 2 4; 34.6°, intensity 44, hkl 2 2 0; 34.8°, intensity 100, hkl 1 3 3; 39.6°, intensity 74, hkl 2 0 4; 43.3°, intensity 25, hkl 1 3 5; 60.4°, intensity 30, hkl 2 6 0

Structural model:
```
data_Ba2Ga4Cu5
_chemical_formula_sum 'Ba8 Ga16 Cu20'
_symmetry_space_group_name_H-M 'F m m m'
_symmetry_Int_Tables_number 69
_symmetry_space_group_name_Hall '-F 2 2'
_cell_length_a 5.913
_cell_length_b 10.751
_cell_length_c 14.256
_cell_angle_alpha 90.00
_cell_angle_beta 90.00
_cell_angle_gamma 90.00
loop_
_atom_site_label
_atom_site_type_symbol
_atom_site_fract_x
_atom_site_fract_y
_atom_site_fract_z
_atom_site_occupancy
Ba1 Ba 0.000 0.000 0.142 1
Ga1 Ga 0.000 0.163 0.375 1
Cu1 Cu 0.000 0.000 0.500 1
Cu2 Cu 0.250 0.250 0.000 1
Cu3 Cu 0.250 0.250 0.250 1
```